Diffraction record for CaZn3O4. The powder diffraction line list is computed, not measured: it uses a PBE-relaxed structure and Cu Ka.
Lines closer than 0.1° are merged.

Crystal structure
```
data_CaZn3O4
_chemical_formula_sum 'Ca2 Zn6 O8'
_space_group_name_H-M_alt 'C 1 m 1'
_space_group_IT_number 8
_cell_length_a 12.3561
_cell_length_b 3.4218
_cell_length_c 5.8975
_cell_angle_alpha 90.00
_cell_angle_beta 118.41
_cell_angle_gamma 90.00
loop_
_space_group_symop_operation_xyz
'x,y,z'
'x,-y,z'
'x+1/2,y+1/2,z'
'x+1/2,-y+1/2,z'
loop_
_atom_site_label
_atom_site_fract_x
_atom_site_fract_y
_atom_site_fract_z
_atom_site_occupancy
Ca1 0.0000 0.0000 0.0000 1
Zn1 0.0006 0.5000 0.4950 1
Zn2 0.2432 0.0000 0.9028 1
Zn3 0.2507 0.5000 0.4181 1
O1 0.0581 0.0000 0.6987 1
O2 0.0688 0.5000 0.2549 1
O3 0.2952 0.5000 0.7973 1
O4 0.3072 0.0000 0.3023 1
```

Principal peaks in the range 15° ≤ 2θ ≤ 90°, in order of rising 2θ:
2θ 30.20, intensity 46, hkl 1 1 -1
2θ 30.31, intensity 23, hkl 2 0 -2
2θ 32.97, intensity 49, hkl 4 0 0
2θ 34.52, intensity 100, hkl 0 0 2
2θ 45.32, intensity 25, hkl 2 0 2
2θ 53.78, intensity 30, hkl 3 1 -3
2θ 59.87, intensity 34, hkl 5 1 1
2θ 64.54, intensity 24, hkl 7 1 -3

Diffraction record for Co2SiGe. The powder diffraction line list is computed, not measured: it uses a PBE-relaxed structure and Cu Ka.
Lines closer than 0.1° are merged.

Crystal structure
```
data_Co2SiGe
_chemical_formula_sum 'Co4 Si2 Ge2'
_space_group_name_H-M_alt 'P 1 21 1'
_space_group_IT_number 4
_cell_length_a 4.5341
_cell_length_b 4.5358
_cell_length_c 4.5397
_cell_angle_alpha 90.00
_cell_angle_beta 90.72
_cell_angle_gamma 90.00
loop_
_space_group_symop_operation_xyz
'x,y,z'
'-x,y+1/2,-z'
loop_
_atom_site_label
_atom_site_fract_x
_atom_site_fract_y
_atom_site_fract_z
_atom_site_occupancy
Co1 0.1356 0.0000 0.3823 1
Co2 0.3564 0.2789 0.8960 1
Si1 0.1563 0.8007 0.9124 1
Ge1 0.3386 0.4831 0.4058 1
```

Principal peaks in the range 15° ≤ 2θ ≤ 90°, in order of rising 2θ:
2θ 34.38, intensity 18, hkl 1 1 1
2θ 39.74, intensity 16, hkl 0 2 0
2θ 44.41, intensity 30, hkl 1 0 -2
2θ 44.68, intensity 100, hkl 2 1 0
2θ 44.88, intensity 20, hkl 1 0 2
2θ 48.98, intensity 25, hkl 2 1 -1
2θ 49.09, intensity 18, hkl 1 2 -1
2θ 49.37, intensity 26, hkl 1 1 2

Diffraction record for LiLu2In. The powder diffraction line list is computed, not measured: it uses a PBE-relaxed structure and Cu Ka.
Lines closer than 0.1° are merged.

Crystal structure
```
data_LiLu2In
_chemical_formula_sum 'Li4 Lu8 In4'
_space_group_name_H-M_alt 'F m -3 m'
_space_group_IT_number 225
_space_group_name_Hall '-F 4 2 3'
_cell_length_a 7.3029
_cell_length_b 7.3029
_cell_length_c 7.3029
_cell_angle_alpha 90.00
_cell_angle_beta 90.00
_cell_angle_gamma 90.00
loop_
_atom_site_label
_atom_site_fract_x
_atom_site_fract_y
_atom_site_fract_z
_atom_site_occupancy
Li1 0.0000 0.0000 0.0000 1
Lu1 0.2500 0.2500 0.2500 1
In1 0.0000 0.0000 0.5000 1
```

Principal peaks in the range 15° ≤ 2θ ≤ 90°, in order of rising 2θ:
2θ 21.07, intensity 14, hkl 1 1 1
2θ 24.38, intensity 28, hkl 2 0 0
2θ 34.74, intensity 100, hkl 2 2 0
2θ 49.95, intensity 18, hkl 4 0 0
2θ 56.34, intensity 12, hkl 4 2 0
2θ 62.28, intensity 37, hkl 4 2 2
2θ 73.33, intensity 11, hkl 4 4 0
2θ 83.77, intensity 16, hkl 6 2 0

Diffraction record for Cs5AsP4Se12. The powder diffraction line list is computed, not measured: it uses a PBE-relaxed structure and Cu Ka.
Lines closer than 0.1° are merged.

Crystal structure
```
data_Cs5AsP4Se12
_chemical_formula_sum 'Cs10 As2 P8 Se24'
_space_group_name_H-M_alt 'P 42/m'
_space_group_IT_number 84
_cell_length_a 14.2434
_cell_length_b 14.2434
_cell_length_c 7.7665
_cell_angle_alpha 90.00
_cell_angle_beta 90.00
_cell_angle_gamma 90.00
loop_
_space_group_symop_operation_xyz
'x,y,z'
'-x,-y,-z'
'-y,x,z+1/2'
'y,-x,-z+1/2'
'-x,-y,z'
'x,y,-z'
'y,-x,z+1/2'
'-y,x,-z+1/2'
loop_
_atom_site_label
_atom_site_fract_x
_atom_site_fract_y
_atom_site_fract_z
_atom_site_occupancy
Cs1 0.0000 0.0000 0.0000 1
Cs2 0.0323 0.3223 0.0000 1
Cs3 0.3177 0.3429 0.5000 1
As1 0.0000 0.5000 0.5000 1
P1 0.1148 0.7447 0.5000 1
P2 0.2011 0.6084 0.5000 1
Se1 0.0328 0.3106 0.5000 1
Se2 0.1473 0.5287 0.2719 1
Se3 0.1502 0.8193 0.2625 1
Se4 0.3499 0.6339 0.5000 1
```

Principal peaks in the range 15° ≤ 2θ ≤ 90°, in order of rising 2θ:
2θ 22.87, intensity 12, hkl 0 0 2
2θ 26.55, intensity 52, hkl 3 3 0
2θ 28.02, intensity 13, hkl 4 2 0
2θ 29.72, intensity 100, hkl 3 0 2
2θ 37.90, intensity 17, hkl 6 0 0
2θ 46.79, intensity 10, hkl 0 0 4
2θ 48.89, intensity 28, hkl 6 3 2
2θ 54.62, intensity 16, hkl 3 3 4

Diffraction record for CeAlNi. The powder diffraction line list is computed, not measured: it uses a PBE-relaxed structure and Cu Ka.
Lines closer than 0.1° are merged.

Crystal structure
```
data_CeAlNi
_chemical_formula_sum 'Ce3 Al3 Ni3'
_space_group_name_H-M_alt 'P -6 2 m'
_space_group_IT_number 189
_space_group_name_Hall 'P -6 -2'
_cell_length_a 6.8894
_cell_length_b 6.8894
_cell_length_c 4.0427
_cell_angle_alpha 90.00
_cell_angle_beta 90.00
_cell_angle_gamma 120.00
loop_
_atom_site_label
_atom_site_fract_x
_atom_site_fract_y
_atom_site_fract_z
_atom_site_occupancy
Ce1 0.0000 0.5763 0.0000 1
Al1 0.0000 0.2323 0.5000 1
Ni1 0.0000 0.0000 0.0000 1
Ni2 0.3333 0.6667 0.5000 1
```

Principal peaks in the range 15° ≤ 2θ ≤ 90°, in order of rising 2θ:
2θ 21.99, intensity 23, hkl 0 0 1
2θ 25.86, intensity 24, hkl 1 1 0
2θ 29.95, intensity 33, hkl 2 0 0
2θ 34.20, intensity 80, hkl 1 1 1
2θ 37.47, intensity 100, hkl 2 0 1
2θ 39.98, intensity 28, hkl 2 1 0
2θ 44.84, intensity 23, hkl 0 0 2
2θ 60.45, intensity 30, hkl 3 1 1

Diffraction record for La2Ta3Se2O8. The powder diffraction line list is computed, not measured: it uses a PBE-relaxed structure and Cu Ka.
Lines closer than 0.1° are merged.

Crystal structure
```
data_La2Ta3Se2O8
_chemical_formula_sum 'La8 Ta12 Se8 O32'
_space_group_name_H-M_alt 'P n n m'
_space_group_IT_number 58
_cell_length_a 10.0276
_cell_length_b 12.0900
_cell_length_c 7.7241
_cell_angle_alpha 90.00
_cell_angle_beta 90.00
_cell_angle_gamma 90.00
loop_
_space_group_symop_operation_xyz
'x,y,z'
'-x,-y,-z'
'-x,-y,z'
'x,y,-z'
'x+1/2,-y+1/2,-z+1/2'
'-x+1/2,y+1/2,z+1/2'
'-x+1/2,y+1/2,-z+1/2'
'x+1/2,-y+1/2,z+1/2'
loop_
_atom_site_label
_atom_site_fract_x
_atom_site_fract_y
_atom_site_fract_z
_atom_site_occupancy
La1 0.2078 0.1565 0.0000 1
La2 0.2281 0.1513 0.5000 1
Ta1 0.0000 0.5000 0.2847 1
Ta2 0.1360 0.9171 0.2502 1
Se1 0.0180 0.3386 0.5000 1
Se2 0.0240 0.3634 0.0000 1
O1 0.0564 0.1019 0.2552 1
O2 0.1334 0.9478 0.0000 1
O3 0.1478 0.9482 0.5000 1
O4 0.1973 0.5232 0.2635 1
O5 0.2118 0.7772 0.2478 1
```

Principal peaks in the range 15° ≤ 2θ ≤ 90°, in order of rising 2θ:
2θ 27.40, intensity 62, hkl 0 2 2
2θ 27.69, intensity 100, hkl 3 1 0
2θ 28.84, intensity 95, hkl 1 2 2
2θ 30.13, intensity 38, hkl 2 1 2
2θ 30.56, intensity 36, hkl 3 2 0
2θ 47.06, intensity 38, hkl 0 0 4
2θ 53.05, intensity 35, hkl 4 4 2
2θ 55.49, intensity 31, hkl 3 1 4